# 1
# PmTaN2O
Computed X-ray powder pattern, Cu Ka. Input: a cell relaxed with GGA-PBE.

Most intense lines, 2θ from 15° to 90°, sorted by position:
31.24°, rel. 57; 31.45°, rel. 100; 44.77°, rel. 26; 45.38°, rel. 13; 55.74°, rel. 44; 56.13°, rel. 22; 65.65°, rel. 16; 74.05°, rel. 10; 74.16°, rel. 8; 75.05°, rel. 9

Cell and atoms:
```
data_PmTaN2O
_chemical_formula_sum 'Pm4 Ta4 N8 O4'
_cell_length_a 5.726
_cell_length_b 5.726
_cell_length_c 7.994
_cell_angle_alpha 90.00
_cell_angle_beta 90.00
_cell_angle_gamma 90.00
_symmetry_space_group_name_H-M 'I 4 c m'
_symmetry_Int_Tables_number 108
_symmetry_space_group_name_Hall 'I 4 -2c'
loop_
_atom_site_label
_atom_site_type_symbol
_atom_site_fract_x
_atom_site_fract_y
_atom_site_fract_z
Pm1 Pm 0.000 0.500 0.000
Ta1 Ta 0.000 0.000 0.254
N1 N 0.193 0.307 0.263
O1 O 0.000 0.000 0.009
```



# 2
# Pr7N5O
Computed X-ray powder pattern, Cu Ka. Input: a cell relaxed with GGA-PBE.

Most intense lines, 2θ from 15° to 90°, sorted by position:
28.24°, rel. 39; 29.53°, rel. 50; 30.35°, rel. 95; 32.54°, rel. 100; 32.85°, rel. 34; 33.90°, rel. 73; 35.19°, rel. 58; 49.53°, rel. 64; 51.60°, rel. 30; 60.62°, rel. 34

Cell and atoms:
```
data_Pr7N5O
_chemical_formula_sum 'Pr14 N10 O2'
_cell_length_a 3.673
_cell_length_b 6.378
_cell_length_c 21.577
_cell_angle_alpha 89.99
_cell_angle_beta 90.00
_cell_angle_gamma 73.32
_symmetry_space_group_name_H-M 'P -1'
_symmetry_Int_Tables_number 2
_symmetry_space_group_name_Hall '-P 1'
loop_
_atom_site_label
_atom_site_type_symbol
_atom_site_fract_x
_atom_site_fract_y
_atom_site_fract_z
Pr1 Pr 0.041 0.416 0.250
Pr2 Pr 0.139 0.221 0.535
Pr3 Pr 0.139 0.222 0.965
Pr4 Pr 0.315 0.871 0.326
Pr5 Pr 0.316 0.870 0.174
Pr6 Pr 0.418 0.664 0.897
Pr7 Pr 0.419 0.663 0.603
N1 N 0.054 0.392 0.851
N2 N 0.054 0.393 0.649
N3 N 0.226 0.048 0.424
N4 N 0.226 0.049 0.076
N5 N 0.500 0.500 0.000
N6 N 0.500 0.500 0.500
O1 O 0.298 0.904 0.750
```



# 3
# Pr6NO
Computed X-ray powder pattern, Cu Ka. Input: a cell relaxed with GGA-PBE.

Most intense lines, 2θ from 15° to 90°, sorted by position:
27.42°, rel. 20; 30.11°, rel. 24; 31.36°, rel. 100; 41.18°, rel. 18; 48.48°, rel. 21; 54.27°, rel. 21; 58.13°, rel. 21; 58.88°, rel. 15; 79.65°, rel. 11; 82.93°, rel. 8

Cell and atoms:
```
data_Pr6NO
_chemical_formula_sum 'Pr12 N2 O2'
_cell_length_a 6.5048
_cell_length_b 6.5048
_cell_length_c 11.8715
_cell_angle_alpha 90.00
_cell_angle_beta 90.00
_cell_angle_gamma 120.00
_symmetry_space_group_name_H-M 'P -3 1 c'
_symmetry_Int_Tables_number 163
_symmetry_space_group_name_Hall '-P 3 2c'
loop_
_atom_site_label
_atom_site_type_symbol
_atom_site_fract_x
_atom_site_fract_y
_atom_site_fract_z
Pr1 Pr 0.0203 0.3299 0.1243
N1 N 0.0000 0.0000 0.0000
O1 O 0.3333 0.6667 0.2500
```



# 4
# Pr3Se2NO
Computed X-ray powder pattern, Cu Ka. Input: a cell relaxed with GGA-PBE.

Most intense lines, 2θ from 15° to 90°, sorted by position:
24.52°, rel. 12; 27.15°, rel. 61; 28.86°, rel. 9; 29.23°, rel. 100; 34.96°, rel. 47; 38.88°, rel. 11; 39.24°, rel. 12; 44.28°, rel. 25; 45.13°, rel. 37; 52.71°, rel. 20

Cell and atoms:
```
data_Pr3Se2NO
_chemical_formula_sum 'Pr18 Se12 N6 O6'
_cell_length_a 24.633
_cell_length_b 4.092
_cell_length_c 9.914
_cell_angle_alpha 90.00
_cell_angle_beta 96.36
_cell_angle_gamma 90.00
_symmetry_space_group_name_H-M 'C 1 m 1'
_symmetry_Int_Tables_number 8
_symmetry_space_group_name_Hall 'C -2y'
loop_
_atom_site_label
_atom_site_type_symbol
_atom_site_fract_x
_atom_site_fract_y
_atom_site_fract_z
Pr1 Pr 0.000 0.000 0.000
Pr2 Pr 0.032 0.500 0.689
Pr3 Pr 0.132 0.500 0.302
Pr4 Pr 0.183 0.000 0.982
Pr5 Pr 0.221 0.500 0.657
Pr6 Pr 0.257 0.000 0.341
Pr7 Pr 0.312 0.500 0.021
Pr8 Pr 0.408 0.500 0.649
Pr9 Pr 0.443 0.000 0.338
Se1 Se 0.033 0.000 0.331
Se2 Se 0.087 0.500 0.996
Se3 Se 0.133 0.000 0.660
Se4 Se 0.309 0.000 0.716
Se5 Se 0.355 0.500 0.332
Se6 Se 0.412 0.000 0.014
N1 N 0.219 0.500 0.422
N2 N 0.445 0.000 0.564
N3 N 0.495 0.500 0.774
O1 O 0.168 0.000 0.218
O2 O 0.222 0.500 0.916
O3 O 0.274 0.000 0.098
```



# 5
# PtS2N4O8
Computed X-ray powder pattern, Cu Ka. Input: a cell relaxed with GGA-PBE.

Most intense lines, 2θ from 15° to 90°, sorted by position:
15.27°, rel. 16; 18.56°, rel. 100; 19.42°, rel. 32; 21.84°, rel. 42; 22.85°, rel. 18; 27.11°, rel. 27; 29.09°, rel. 28; 29.38°, rel. 23; 34.26°, rel. 14; 36.64°, rel. 18

Cell and atoms:
```
data_PtS2N4O8
_chemical_formula_sum 'Pt2 S4 N8 O16'
_cell_length_a 10.500
_cell_length_b 8.140
_cell_length_c 6.129
_cell_angle_alpha 90.00
_cell_angle_beta 108.75
_cell_angle_gamma 90.00
_symmetry_space_group_name_H-M 'C 1 2/m 1'
_symmetry_Int_Tables_number 12
_symmetry_space_group_name_Hall '-C 2y'
loop_
_atom_site_label
_atom_site_type_symbol
_atom_site_fract_x
_atom_site_fract_y
_atom_site_fract_z
Pt1 Pt 0.000 0.000 0.000
S1 S 0.213 0.500 0.616
N1 N 0.000 0.249 0.000
N2 N 0.148 0.000 0.847
O1 O 0.129 0.000 0.326
O2 O 0.163 0.500 0.364
O3 O 0.175 0.351 0.716
```



# 6
# Pu3NO5
Computed X-ray powder pattern, Cu Ka. Input: a cell relaxed with GGA-PBE.

Most intense lines, 2θ from 15° to 90°, sorted by position:
28.90°, rel. 100; 33.49°, rel. 38; 48.08°, rel. 40; 57.08°, rel. 46; 59.87°, rel. 11; 77.75°, rel. 10; 77.85°, rel. 10; 80.21°, rel. 11; 89.72°, rel. 8; 89.85°, rel. 8

Cell and atoms:
```
data_Pu3NO5
_chemical_formula_sum 'Pu12 N4 O20'
_cell_length_a 11.974
_cell_length_b 5.353
_cell_length_c 7.559
_cell_angle_alpha 90.00
_cell_angle_beta 108.39
_cell_angle_gamma 90.00
_symmetry_space_group_name_H-M 'C 1 2/c 1'
_symmetry_Int_Tables_number 15
_symmetry_space_group_name_Hall '-C 2yc'
loop_
_atom_site_label
_atom_site_type_symbol
_atom_site_fract_x
_atom_site_fract_y
_atom_site_fract_z
Pu1 Pu 0.000 0.000 0.000
Pu2 Pu 0.164 0.493 0.332
N1 N 0.000 0.242 0.250
O1 O 0.000 0.258 0.750
O2 O 0.167 0.246 0.082
O3 O 0.167 0.254 0.585
```



# 7
# Pu6N5O
Computed X-ray powder pattern, Cu Ka. Input: a cell relaxed with GGA-PBE.

Most intense lines, 2θ from 15° to 90°, sorted by position:
31.33°, rel. 100; 36.33°, rel. 65; 52.33°, rel. 46; 62.27°, rel. 46; 65.37°, rel. 16; 77.15°, rel. 7; 85.61°, rel. 20; 88.40°, rel. 22

Cell and atoms:
```
data_Pu6N5O
_chemical_formula_sum 'Pu12 N10 O2'
_cell_length_a 6.056
_cell_length_b 10.492
_cell_length_c 6.057
_cell_angle_alpha 90.00
_cell_angle_beta 109.48
_cell_angle_gamma 90.00
_symmetry_space_group_name_H-M 'C 1 2/m 1'
_symmetry_Int_Tables_number 12
_symmetry_space_group_name_Hall '-C 2y'
loop_
_atom_site_label
_atom_site_type_symbol
_atom_site_fract_x
_atom_site_fract_y
_atom_site_fract_z
Pu1 Pu 0.248 0.000 0.252
Pu2 Pu 0.249 0.168 0.749
N1 N 0.000 0.000 0.500
N2 N 0.000 0.166 0.000
N3 N 0.000 0.331 0.500
O1 O 0.000 0.500 0.000
```



# 8
# Pu2SNO
Computed X-ray powder pattern, Cu Ka. Input: a cell relaxed with GGA-PBE.

Most intense lines, 2θ from 15° to 90°, sorted by position:
25.27°, rel. 26; 27.28°, rel. 51; 28.01°, rel. 53; 30.31°, rel. 20; 31.14°, rel. 100; 31.73°, rel. 65; 35.70°, rel. 26; 47.60°, rel. 32; 48.28°, rel. 37; 55.74°, rel. 33

Cell and atoms:
```
data_Pu2SNO
_chemical_formula_sum 'Pu8 S4 N4 O4'
_cell_length_a 12.802
_cell_length_b 3.820
_cell_length_c 9.190
_cell_angle_alpha 90.00
_cell_angle_beta 128.45
_cell_angle_gamma 90.00
_symmetry_space_group_name_H-M 'C 1 2/m 1'
_symmetry_Int_Tables_number 12
_symmetry_space_group_name_Hall '-C 2y'
loop_
_atom_site_label
_atom_site_type_symbol
_atom_site_fract_x
_atom_site_fract_y
_atom_site_fract_z
Pu1 Pu 0.074 0.000 0.332
Pu2 Pu 0.169 0.500 0.077
S1 S 0.187 0.500 0.626
N1 N 0.050 0.500 0.185
O1 O 0.144 0.000 0.915
```



# 9
# PuUNO
Computed X-ray powder pattern, Cu Ka. Input: a cell relaxed with GGA-PBE.

Most intense lines, 2θ from 15° to 90°, sorted by position:
29.22°, rel. 84; 31.18°, rel. 100; 31.43°, rel. 63; 32.63°, rel. 42; 36.36°, rel. 50; 38.78°, rel. 52; 40.09°, rel. 81; 46.26°, rel. 30; 54.87°, rel. 39; 64.45°, rel. 21

Cell and atoms:
```
data_PuUNO
_chemical_formula_sum 'Pu2 U2 N2 O2'
_cell_length_a 5.804
_cell_length_b 3.341
_cell_length_c 6.338
_cell_angle_alpha 90.00
_cell_angle_beta 105.37
_cell_angle_gamma 90.00
_symmetry_space_group_name_H-M 'C 1 m 1'
_symmetry_Int_Tables_number 8
_symmetry_space_group_name_Hall 'C -2y'
loop_
_atom_site_label
_atom_site_type_symbol
_atom_site_fract_x
_atom_site_fract_y
_atom_site_fract_z
Pu1 Pu 0.000 0.000 0.000
U1 U 0.299 0.500 0.467
N1 N 0.399 0.000 0.232
O1 O 0.079 0.500 0.731
```



# 10
# RbReNO2
Computed X-ray powder pattern, Cu Ka. Input: a cell relaxed with GGA-PBE.

Most intense lines, 2θ from 15° to 90°, sorted by position:
22.12°, rel. 23; 22.66°, rel. 12; 31.49°, rel. 49; 31.88°, rel. 100; 45.13°, rel. 29; 46.28°, rel. 13; 56.31°, rel. 41; 57.05°, rel. 19; 66.63°, rel. 17; 74.92°, rel. 9

Cell and atoms:
```
data_RbReNO2
_chemical_formula_sum 'Rb1 Re1 N1 O2'
_cell_length_a 4.018
_cell_length_b 4.018
_cell_length_c 3.924
_cell_angle_alpha 90.00
_cell_angle_beta 90.00
_cell_angle_gamma 90.00
_symmetry_space_group_name_H-M 'P 4/m m m'
_symmetry_Int_Tables_number 123
_symmetry_space_group_name_Hall '-P 4 2'
loop_
_atom_site_label
_atom_site_type_symbol
_atom_site_fract_x
_atom_site_fract_y
_atom_site_fract_z
Rb1 Rb 0.000 0.000 0.000
Re1 Re 0.500 0.500 0.500
N1 N 0.500 0.500 0.000
O1 O 0.000 0.500 0.500
```



# 11
# Rb2S2NO6
Computed X-ray powder pattern, Cu Ka. Input: a cell relaxed with GGA-PBE.

Most intense lines, 2θ from 15° to 90°, sorted by position:
22.89°, rel. 100; 25.39°, rel. 57; 25.62°, rel. 48; 26.10°, rel. 57; 26.20°, rel. 31; 27.45°, rel. 24; 34.43°, rel. 20; 34.97°, rel. 22; 36.62°, rel. 22; 45.09°, rel. 19

Cell and atoms:
```
data_Rb2S2NO6
_chemical_formula_sum 'Rb8 S8 N4 O24'
_cell_length_a 13.712
_cell_length_b 7.780
_cell_length_c 7.783
_cell_angle_alpha 90.00
_cell_angle_beta 95.11
_cell_angle_gamma 90.00
_symmetry_space_group_name_H-M 'C 1 2/c 1'
_symmetry_Int_Tables_number 15
_symmetry_space_group_name_Hall '-C 2yc'
loop_
_atom_site_label
_atom_site_type_symbol
_atom_site_fract_x
_atom_site_fract_y
_atom_site_fract_z
Rb1 Rb 0.144 0.190 0.181
S1 S 0.093 0.300 0.670
N1 N 0.000 0.405 0.750
O1 O 0.051 0.216 0.511
O2 O 0.134 0.177 0.801
O3 O 0.162 0.438 0.638
```



# 12
# Rb2ZnNO
Computed X-ray powder pattern, Cu Ka. Input: a cell relaxed with GGA-PBE.

Most intense lines, 2θ from 15° to 90°, sorted by position:
23.85°, rel. 45; 28.29°, rel. 100; 31.25°, rel. 35; 37.32°, rel. 57; 40.43°, rel. 37; 47.48°, rel. 29; 57.38°, rel. 25; 65.18°, rel. 16; 66.24°, rel. 16; 71.48°, rel. 17

Cell and atoms:
```
data_Rb2ZnNO
_chemical_formula_sum 'Rb2 Zn1 N1 O1'
_cell_length_a 6.310
_cell_length_b 6.310
_cell_length_c 3.731
_cell_angle_alpha 90.00
_cell_angle_beta 90.00
_cell_angle_gamma 90.00
_symmetry_space_group_name_H-M 'P 4/m m m'
_symmetry_Int_Tables_number 123
_symmetry_space_group_name_Hall '-P 4 2'
loop_
_atom_site_label
_atom_site_type_symbol
_atom_site_fract_x
_atom_site_fract_y
_atom_site_fract_z
Rb1 Rb 0.000 0.500 0.000
Zn1 Zn 0.000 0.000 0.000
N1 N 0.500 0.500 0.500
O1 O 0.000 0.000 0.500
```



# 13
# RhSe2NO
Computed X-ray powder pattern, Cu Ka. Input: a cell relaxed with GGA-PBE.

Most intense lines, 2θ from 15° to 90°, sorted by position:
17.62°, rel. 73; 24.82°, rel. 81; 30.60°, rel. 41; 35.68°, rel. 100; 43.95°, rel. 71; 47.70°, rel. 24; 51.34°, rel. 34; 57.84°, rel. 32; 63.71°, rel. 34; 75.22°, rel. 21

Cell and atoms:
```
data_RhSe2NO
_chemical_formula_sum 'Rh1 Se2 N1 O1'
_cell_length_a 5.033
_cell_length_b 5.033
_cell_length_c 3.587
_cell_angle_alpha 90.00
_cell_angle_beta 90.00
_cell_angle_gamma 90.00
_symmetry_space_group_name_H-M 'P 4/m m m'
_symmetry_Int_Tables_number 123
_symmetry_space_group_name_Hall '-P 4 2'
loop_
_atom_site_label
_atom_site_type_symbol
_atom_site_fract_x
_atom_site_fract_y
_atom_site_fract_z
Rh1 Rh 0.000 0.000 0.000
Se1 Se 0.000 0.500 0.000
N1 N 0.000 0.000 0.500
O1 O 0.500 0.500 0.500
```